1.
The following is a theoretical powder XRD pattern of SrGa2FeGe. It was derived from the PBE geometry in Alexandria, using CuKα.

Crystal structure
```
data_SrGa2FeGe
_chemical_formula_sum 'Sr1 Ga2 Fe1 Ge1'
_symmetry_space_group_name_H-M 'P 1'
_symmetry_Int_Tables_number 1
_symmetry_space_group_name_Hall 'P 1'
_cell_length_a 4.6877
_cell_length_b 4.6877
_cell_length_c 4.6516
_cell_angle_alpha 90.00
_cell_angle_beta 90.00
_cell_angle_gamma 90.00
loop_
_atom_site_label
_atom_site_fract_x
_atom_site_fract_y
_atom_site_fract_z
Sr1 0.0000 0.0000 0.0000
Ga1 0.0000 0.5000 0.5000
Ga2 0.5000 0.0000 0.5000
Fe1 0.5000 0.5000 0.5000
Ge1 0.5000 0.5000 0.0000
```

Largest 8 diffraction maxima, by angle, 5° ≤ 2θ ≤ 70°:
2theta	I/Imax
27.00	14
33.19	100
38.41	72
38.72	35
55.44	24
55.67	47
66.16	27
69.66	24


2.
The following is a theoretical powder XRD pattern of Ga3Fe7H2. It was derived from the PBE geometry in Alexandria, using CuKα.

Crystal structure
```
data_Ga3Fe7H2
_chemical_formula_sum 'Ga3 Fe7 H2'
_symmetry_space_group_name_H-M 'P 1'
_symmetry_Int_Tables_number 1
_symmetry_space_group_name_Hall 'P 1'
_cell_length_a 9.4894
_cell_length_b 9.4894
_cell_length_c 3.6981
_cell_angle_alpha 90.00
_cell_angle_beta 90.00
_cell_angle_gamma 157.77
loop_
_atom_site_label
_atom_site_fract_x
_atom_site_fract_y
_atom_site_fract_z
Ga1 0.0000 0.0000 0.0000
Ga2 0.1957 0.8043 0.0000
Ga3 0.8043 0.1957 0.0000
Fe1 0.0991 0.9009 0.5000
Fe2 0.2982 0.7018 0.5000
Fe3 0.4016 0.5984 0.0000
Fe4 0.5000 0.5000 0.5000
Fe5 0.5984 0.4016 0.0000
Fe6 0.7018 0.2982 0.5000
Fe7 0.9009 0.0991 0.5000
H1 0.3996 0.6004 0.5000
H2 0.6004 0.3996 0.5000
```

Largest 5 diffraction maxima, by angle, 5° ≤ 2θ ≤ 70°:
2theta	I/Imax
37.84	1
42.38	100
48.91	16
49.28	16
49.84	15


3.
The following is a theoretical powder XRD pattern of GaFeHIr2. It was derived from the PBE geometry in Alexandria, using CuKα.

Crystal structure
```
data_GaFeHIr2
_chemical_formula_sum 'Ga1 Fe1 H1 Ir2'
_symmetry_space_group_name_H-M 'P 1'
_symmetry_Int_Tables_number 1
_symmetry_space_group_name_Hall 'P 1'
_cell_length_a 3.9808
_cell_length_b 3.9808
_cell_length_c 3.6899
_cell_angle_alpha 90.00
_cell_angle_beta 90.00
_cell_angle_gamma 90.00
loop_
_atom_site_label
_atom_site_fract_x
_atom_site_fract_y
_atom_site_fract_z
Ga1 0.0000 0.0000 0.0000
Fe1 0.5000 0.5000 0.0000
H1 0.5000 0.5000 0.5000
Ir1 0.0000 0.5000 0.5000
Ir2 0.5000 0.0000 0.5000
```

Largest 8 diffraction maxima, by angle, 5° ≤ 2θ ≤ 70°:
2theta	I/Imax
24.12	22
31.79	21
40.30	100
45.58	36
49.40	14
52.22	12
66.43	11
69.47	20


4.
The following is a theoretical powder XRD pattern of GaFeSiHN. It was derived from the PBE geometry in Alexandria, using CuKα.

Crystal structure
```
data_GaFeSiHN
_chemical_formula_sum 'Ga3 Fe3 Si3 H3 N3'
_symmetry_space_group_name_H-M 'P 1'
_symmetry_Int_Tables_number 1
_symmetry_space_group_name_Hall 'P 1'
_cell_length_a 2.8965
_cell_length_b 2.8965
_cell_length_c 21.3096
_cell_angle_alpha 90.00
_cell_angle_beta 90.00
_cell_angle_gamma 120.00
loop_
_atom_site_label
_atom_site_fract_x
_atom_site_fract_y
_atom_site_fract_z
Ga1 0.0000 0.0000 0.0000
Ga2 0.3333 0.6667 0.6667
Ga3 0.6667 0.3333 0.3333
Fe1 0.0000 0.0000 0.4195
Fe2 0.3333 0.6667 0.0862
Fe3 0.6667 0.3333 0.7529
Si1 0.0000 0.0000 0.8860
Si2 0.3333 0.6667 0.5527
Si3 0.6667 0.3333 0.2194
H1 0.0000 0.0000 0.7678
H2 0.3333 0.6667 0.4345
H3 0.6667 0.3333 0.1012
N1 0.0000 0.0000 0.5208
N2 0.3333 0.6667 0.1874
N3 0.6667 0.3333 0.8541
```

Largest 8 diffraction maxima, by angle, 5° ≤ 2θ ≤ 70°:
2theta	I/Imax
12.46	52
36.81	100
38.00	26
41.78	31
46.93	40
49.94	20
56.68	20
64.32	27


5.
The following is a theoretical powder XRD pattern of GaFeSiHN. It was derived from the PBE geometry in Alexandria, using CuKα.

Crystal structure
```
data_GaFeSiHN
_chemical_formula_sum 'Ga2 Fe2 Si2 H2 N2'
_symmetry_space_group_name_H-M 'P 1'
_symmetry_Int_Tables_number 1
_symmetry_space_group_name_Hall 'P 1'
_cell_length_a 2.8633
_cell_length_b 2.9215
_cell_length_c 11.8281
_cell_angle_alpha 90.00
_cell_angle_beta 90.00
_cell_angle_gamma 90.00
loop_
_atom_site_label
_atom_site_fract_x
_atom_site_fract_y
_atom_site_fract_z
Ga1 0.0000 0.0000 0.0000
Ga2 0.0000 0.5000 0.5000
Fe1 0.5000 0.0000 0.3667
Fe2 0.5000 0.5000 0.8667
Si1 0.5000 0.0000 0.7175
Si2 0.5000 0.5000 0.2175
H1 0.0000 0.0000 0.3039
H2 0.0000 0.5000 0.8039
N1 0.0000 0.0000 0.6279
N2 0.0000 0.5000 0.1279
```

Largest 8 diffraction maxima, by angle, 5° ≤ 2θ ≤ 70°:
2theta	I/Imax
14.98	51
34.81	78
38.35	100
44.02	27
44.99	65
49.58	20
50.26	17
59.78	23


6.
The following is a theoretical powder XRD pattern of GaFeSiHN. It was derived from the PBE geometry in Alexandria, using CuKα.

Crystal structure
```
data_GaFeSiHN
_chemical_formula_sum 'Ga3 Fe3 Si3 H3 N3'
_symmetry_space_group_name_H-M 'P 1'
_symmetry_Int_Tables_number 1
_symmetry_space_group_name_Hall 'P 1'
_cell_length_a 2.8748
_cell_length_b 2.8748
_cell_length_c 20.7666
_cell_angle_alpha 90.00
_cell_angle_beta 90.00
_cell_angle_gamma 120.00
loop_
_atom_site_label
_atom_site_fract_x
_atom_site_fract_y
_atom_site_fract_z
Ga1 0.0000 0.0000 0.0000
Ga2 0.3333 0.6667 0.6667
Ga3 0.6667 0.3333 0.3333
Fe1 0.0000 0.0000 0.5797
Fe2 0.3333 0.6667 0.2463
Fe3 0.6667 0.3333 0.9130
Si1 0.0000 0.0000 0.4726
Si2 0.3333 0.6667 0.1393
Si3 0.6667 0.3333 0.8059
H1 0.0000 0.0000 0.8823
H2 0.3333 0.6667 0.5489
H3 0.6667 0.3333 0.2156
N1 0.0000 0.0000 0.1012
N2 0.3333 0.6667 0.7679
N3 0.6667 0.3333 0.4346
```

Largest 8 diffraction maxima, by angle, 5° ≤ 2θ ≤ 70°:
2theta	I/Imax
12.79	47
37.14	100
39.04	21
40.17	20
42.33	26
47.69	33
57.82	20
64.87	25